LaCr4Ga3O12: computed powder diffraction line list (λ = 1.5418 Å (Cu Kα)), based on DFT lattice parameters and positions (GGA+U).
No peak broadening, texture or thermal motion is included.

Largest 10 diffraction maxima, low angle first, 10° ≤ 2θ ≤ 90°:
| Position (°2θ) | I/Imax |
| --- | --- |
| 16.67 | 7 |
| 23.66 | 6 |
| 33.70 | 100 |
| 37.82 | 9 |
| 41.59 | 7 |
| 45.10 | 7 |
| 48.41 | 25 |
| 60.28 | 48 |
| 70.87 | 12 |
| 80.81 | 16 |

Structural model:
```
data_LaCr4Ga3O12
_cell_length_a 6.514
_cell_length_b 6.514
_cell_length_c 6.514
_cell_angle_alpha 109.47
_cell_angle_beta 109.47
_cell_angle_gamma 109.47
_space_group_name_H-M_alt 'P 1'
_space_group_IT_number 1
_space_group_name_Hall 'P 1'
loop_
_atom_site_label
_atom_site_type_symbol
_atom_site_fract_x
_atom_site_fract_y
_atom_site_fract_z
_atom_site_occupancy
La1 La 0.000 0.000 0.000 1
Cr1 Cr 0.000 0.000 0.500 1
Cr2 Cr 0.000 0.500 0.000 1
Cr3 Cr 0.500 0.000 0.000 1
Cr4 Cr 0.500 0.500 0.500 1
Ga1 Ga 0.000 0.500 0.500 1
Ga2 Ga 0.500 0.000 0.500 1
Ga3 Ga 0.500 0.500 0.000 1
O1 O 0.136 0.825 0.311 1
O2 O 0.175 0.311 0.486 1
O3 O 0.175 0.689 0.864 1
O4 O 0.311 0.136 0.825 1
O5 O 0.311 0.486 0.175 1
O6 O 0.486 0.175 0.311 1
O7 O 0.514 0.825 0.689 1
O8 O 0.689 0.514 0.825 1
O9 O 0.689 0.864 0.175 1
O10 O 0.825 0.311 0.136 1
O11 O 0.825 0.689 0.514 1
O12 O 0.864 0.175 0.689 1
```